Calculated powder diffraction line list of Mg3Tc for Cu Kα, from a structure optimized by DFT (GGA-PBE).
Kinematic intensities with the Lorentz-polarization factor, no thermal factor.

Atomic structure:
```
data_Mg3Tc
_symmetry_space_group_name_H-M 'P 63/m m c'
_symmetry_Int_Tables_number 194
_symmetry_space_group_name_Hall '-P 6c 2c'
_cell_length_a 5.9157
_cell_length_b 5.9157
_cell_length_c 4.8240
_cell_angle_alpha 90.00
_cell_angle_beta 90.00
_cell_angle_gamma 120.00
loop_
_atom_site_label
_atom_site_type_symbol
_atom_site_fract_x
_atom_site_fract_y
_atom_site_fract_z
_atom_site_occupancy
Mg1 Mg 0.1741 0.3482 0.2500 1
Tc1 Tc 0.3333 0.6667 0.7500 1
```

Principal peaks in the range 10° ≤ 2θ ≤ 80°, in order of rising 2θ:
d_spacing, I/Imax, (hkl)
5.123, 31, 1 0 0
3.512, 56, 1 0 1
2.958, 26, 1 1 0
2.412, 27, 0 0 2
2.262, 100, 2 0 1
1.362, 25, 2 0 3